Starting from a crystal structure in Alexandria, relaxed with PBE, the X-ray powder pattern of TbTl4I7 was calculated for copper Kα.
Peak positions follow from Bragg's law for the DFT cell and can differ from measured ones.

Most intense lines, 10 to 90 degrees two-theta, in order of rising 2θ:
2theta  I/Imax  (hkl)
22.03  28  4 0 1
23.42  48  6 0 -1
25.19  33  5 1 0
26.47  100  3 1 -2
27.99  53  1 1 2
29.90  34  5 1 1
30.22  96  0 2 0
31.01  32  8 0 -1
33.22  28  0 0 3
39.99  44  7 1 -3

Cell and atoms:
Cell: 23.0956 5.9150 8.4732 Å, 90.00 107.31 90.00°
Space group C2/m (No. 12)
Symmetry-distinct sites (fractional):
Tb 0.0000 0.0000 0.0000 x2
Tl 0.0825 0.5000 0.6437 x4
Tl 0.1892 0.5000 0.2655 x4
I 0.0000 0.5000 0.0000 x2
I 0.0785 0.0000 0.3589 x4
I 0.1148 0.0000 0.8934 x4
I 0.2253 0.5000 0.6778 x4



Starting from a crystal structure in Alexandria, relaxed with PBE, the X-ray powder pattern of TmCo3Br9 was calculated for copper Kα.
Peak positions follow from Bragg's law for the DFT cell and can differ from measured ones.

Most intense lines, 10 to 90 degrees two-theta, in order of rising 2θ:
2theta  I/Imax  (hkl)
11.64  33  1 1 -1
16.32  100  1 1 1
18.13  27  3 1 -2
22.38  24  3 1 -3
25.72  22  0 2 2
25.94  36  5 1 -2
28.09  32  2 2 -3
31.28  27  4 2 0
42.10  22  1 3 3
50.41  22  8 0 0

Cell and atoms:
Cell: 18.5388 9.3109 13.2666 Å, 90.00 128.58 90.00°
Space group Cc (No. 9)
Symmetry-distinct sites (fractional):
Tm 0.0000 0.2321 0.0000 x4
Co 0.1405 0.1178 0.8286 x4
Co 0.2326 0.4261 0.7162 x4
Co 0.3591 0.0761 0.6684 x4
Br 0.0082 0.0884 0.8229 x4
Br 0.1178 0.3467 0.7318 x4
Br 0.1413 0.0637 0.2015 x4
Br 0.1517 0.3819 0.0583 x4
Br 0.2473 0.2641 0.5891 x4
Br 0.2943 0.1268 0.0267 x4
Br 0.3614 0.4721 0.4196 x4
Br 0.3998 0.0213 0.3673 x4
Br 0.4880 0.1792 0.6928 x4



Starting from a crystal structure in Alexandria, relaxed with PBE, the X-ray powder pattern of Ce5CdHg8 was calculated for copper Kα.
Peak positions follow from Bragg's law for the DFT cell and can differ from measured ones.

Most intense lines, 10 to 90 degrees two-theta, in order of rising 2θ:
2theta  I/Imax  (hkl)
23.51  14  2 1 1
30.44  100  3 1 0
30.82  42  1 0 3
36.21  39  2 3 1
36.33  40  1 3 2
36.52  53  1 2 3
48.09  29  4 2 2
50.08  11  4 3 1
50.32  11  4 1 3
61.57  19  6 1 1

Cell and atoms:
Cell: 9.2916 9.2916 9.1607 Å, 90.00 90.00 90.00°
Space group I-4 (No. 82)
Symmetry-distinct sites (fractional):
Ce 0.0000 0.0000 0.0000 x2
Ce 0.1130 0.7536 0.6395 x8
Cd 0.0000 0.5000 0.2500 x2
Hg 0.0755 0.6640 0.9748 x8
Hg 0.0864 0.8140 0.2966 x8



Starting from a crystal structure in Alexandria, relaxed with PBE, the X-ray powder pattern of BaNb2O6 was calculated for copper Kα.
Peak positions follow from Bragg's law for the DFT cell and can differ from measured ones.

Most intense lines, 10 to 90 degrees two-theta, in order of rising 2θ:
2theta  I/Imax  (hkl)
27.86  92  2 2 1
28.06  65  2 0 2
28.72  45  0 4 0
29.31  100  0 2 3
40.58  21  2 4 2
41.16  15  2 0 4
45.35  22  4 0 0
50.98  18  2 4 4
51.30  43  2 2 5
54.92  29  4 2 3

Cell and atoms:
Cell: 7.9987 12.4338 10.4898 Å, 90.00 90.00 90.00°
Space group C222_1 (No. 20)
Symmetry-distinct sites (fractional):
Ba 0.0000 0.0755 0.2500 x4
Ba 0.0000 0.3671 0.7500 x4
Nb 0.2258 0.3619 0.0721 x8
Nb 0.2298 0.1434 0.9223 x8
O 0.0003 0.3791 0.0364 x8
O 0.0025 0.1585 0.8862 x8
O 0.1924 0.0000 0.5000 x4
O 0.2006 0.0000 0.0000 x4
O 0.2159 0.4187 0.2500 x8
O 0.2208 0.2004 0.3907 x8
O 0.2205 0.2031 0.1083 x8